For SrMg6Zn6, a DFT-relaxed cell (GGA-PBE, Alexandria) gives the computed powder XRD pattern in this record (λ = 1.5418 Å (Cu Kα)).
Intensities are scaled so that the largest is 100.

Most intense lines, 5 to 70 degrees two-theta, low angle first:
| 2θ (°) | Rel. int. |
| --- | --- |
| 18.28 | 57 |
| 26.15 | 63 |
| 37.05 | 49 |
| 37.28 | 32 |
| 37.45 | 100 |
| 37.53 | 32 |
| 37.64 | 79 |
| 42.01 | 31 |
| 42.15 | 74 |
| 53.84 | 32 |

Cell and atoms:
```
data_SrMg6Zn6
_chemical_formula_sum 'Sr1 Mg6 Zn6'
_cell_length_a 7.3601
_cell_length_b 7.3601
_cell_length_c 7.3601
_cell_angle_alpha 136.01
_cell_angle_beta 98.63
_cell_angle_gamma 97.49
_symmetry_space_group_name_H-M 'P 1'
_symmetry_Int_Tables_number 1
_symmetry_space_group_name_Hall 'P 1'
loop_
_atom_site_label
_atom_site_type_symbol
_atom_site_fract_x
_atom_site_fract_y
_atom_site_fract_z
Sr1 Sr 0.0000 0.0000 0.0000
Mg1 Mg 0.2029 0.5000 0.7029
Mg2 Mg 0.3484 0.3484 0.0000
Mg3 Mg 0.3506 0.0000 0.3506
Mg4 Mg 0.6494 0.0000 0.6494
Mg5 Mg 0.6516 0.6516 0.0000
Mg6 Mg 0.7971 0.5000 0.2971
Zn1 Zn 0.0000 0.0000 0.5000
Zn2 Zn 0.0000 0.5000 0.0000
Zn3 Zn 0.2265 0.7265 0.5000
Zn4 Zn 0.5000 0.0000 0.0000
Zn5 Zn 0.5000 0.5000 0.5000
Zn6 Zn 0.7735 0.2735 0.5000
```

=====

For Sr2MgZn2, a DFT-relaxed cell (GGA-PBE, Alexandria) gives the computed powder XRD pattern in this record (λ = 1.5418 Å (Cu Kα)).
Intensities are scaled so that the largest is 100.

Most intense lines, 5 to 70 degrees two-theta, low angle first:
| 2θ (°) | Rel. int. |
| --- | --- |
| 23.37 | 32 |
| 29.85 | 100 |
| 33.50 | 56 |
| 33.61 | 53 |
| 35.04 | 65 |
| 37.12 | 20 |
| 38.06 | 36 |
| 51.59 | 32 |
| 59.02 | 37 |
| 63.77 | 19 |

Cell and atoms:
```
data_Sr2MgZn2
_chemical_formula_sum 'Sr4 Mg2 Zn4'
_cell_length_a 4.7283
_cell_length_b 6.4172
_cell_length_c 9.6880
_cell_angle_alpha 90.00
_cell_angle_beta 90.00
_cell_angle_gamma 90.00
_symmetry_space_group_name_H-M 'P 1'
_symmetry_Int_Tables_number 1
_symmetry_space_group_name_Hall 'P 1'
loop_
_atom_site_label
_atom_site_type_symbol
_atom_site_fract_x
_atom_site_fract_y
_atom_site_fract_z
Sr1 Sr 0.0000 0.0000 0.2054
Sr2 Sr 0.0000 0.0000 0.7946
Sr3 Sr 0.5000 0.5000 0.2946
Sr4 Sr 0.5000 0.5000 0.7054
Mg1 Mg 0.0000 0.5000 0.0000
Mg2 Mg 0.5000 0.0000 0.5000
Zn1 Zn 0.0000 0.2838 0.5000
Zn2 Zn 0.0000 0.7162 0.5000
Zn3 Zn 0.5000 0.2162 0.0000
Zn4 Zn 0.5000 0.7838 0.0000
```

=====

For Sr2Mg5Zn12, a DFT-relaxed cell (GGA-PBE, Alexandria) gives the computed powder XRD pattern in this record (λ = 1.5418 Å (Cu Kα)).
Intensities are scaled so that the largest is 100.

Most intense lines, 5 to 70 degrees two-theta, low angle first:
| 2θ (°) | Rel. int. |
| --- | --- |
| 25.07 | 13 |
| 32.69 | 20 |
| 33.44 | 33 |
| 37.98 | 100 |
| 38.18 | 28 |
| 38.62 | 10 |
| 42.67 | 30 |
| 48.73 | 10 |
| 68.51 | 10 |
| 68.91 | 15 |

Cell and atoms:
```
data_Sr2Mg5Zn12
_chemical_formula_sum 'Sr2 Mg5 Zn12'
_cell_length_a 7.2272
_cell_length_b 7.2272
_cell_length_c 7.2272
_cell_angle_alpha 82.06
_cell_angle_beta 82.06
_cell_angle_gamma 82.06
_symmetry_space_group_name_H-M 'P 1'
_symmetry_Int_Tables_number 1
_symmetry_space_group_name_Hall 'P 1'
loop_
_atom_site_label
_atom_site_type_symbol
_atom_site_fract_x
_atom_site_fract_y
_atom_site_fract_z
Sr1 Sr 0.1562 0.1562 0.1562
Sr2 Sr 0.8438 0.8438 0.8438
Mg1 Mg 0.0000 0.5000 0.5000
Mg2 Mg 0.4003 0.4003 0.4003
Mg3 Mg 0.5000 0.0000 0.5000
Mg4 Mg 0.5000 0.5000 0.0000
Mg5 Mg 0.5997 0.5997 0.5997
Zn1 Zn 0.1459 0.1459 0.6655
Zn2 Zn 0.1459 0.6655 0.1459
Zn3 Zn 0.2102 0.5000 0.7898
Zn4 Zn 0.2102 0.7898 0.5000
Zn5 Zn 0.3345 0.8541 0.8541
Zn6 Zn 0.5000 0.2102 0.7898
Zn7 Zn 0.5000 0.7898 0.2102
Zn8 Zn 0.6655 0.1459 0.1459
Zn9 Zn 0.7898 0.2102 0.5000
Zn10 Zn 0.7898 0.5000 0.2102
Zn11 Zn 0.8541 0.3345 0.8541
Zn12 Zn 0.8541 0.8541 0.3345
```